Theoretical XRD peak list
Compound: Ac2W3O10
Radiation: λ = 1.5418 Å (Cu Kα)
Structure: a crystal structure in Alexandria, relaxed with GGA+U
Kinematic intensities with the Lorentz-polarization factor, no thermal factor.

Cell and atoms:
Lattice parameters (Å, degrees): 18.501 6.128 7.862 90.00 111.53 90.00
Space group C2/m (No. 12)
One atom of each set of equivalent atoms:
1 Ac 0.111 0.000 0.205
2 Ac 0.213 0.000 0.829
3 W 0.000 0.246 0.500
4 W 0.080 0.500 0.970
5 W 0.181 0.500 0.519
6 O 0.000 0.269 0.000
7 O 0.017 0.000 0.682
8 O 0.025 0.500 0.680
9 O 0.109 0.241 0.524
10 O 0.134 0.500 0.256
11 O 0.155 0.254 0.988
12 O 0.230 0.500 0.774
13 O 0.250 0.250 0.500

Largest 10 diffraction maxima, by angle, 2θ from 15° to 90°:
index, Position (°2θ), d [Å], Rel. int.
3 1 1, 27.22, 3.276, 100
3 1 -2, 27.76, 3.214, 61
6 0 -1, 28.97, 3.082, 59
0 2 0, 29.14, 3.064, 24
5 1 1, 35.79, 2.509, 15
6 2 -1, 41.56, 2.173, 28
3 3 1, 50.50, 1.807, 19
3 3 -2, 50.87, 1.795, 22
2 2 3, 51.98, 1.759, 23
4 2 -4, 55.63, 1.652, 17